Entry 1:
Computed X-ray powder pattern of La3Ga3Pt8 for Cu Kα X-rays, from the PBE geometry in Alexandria.
No peak broadening, texture or thermal motion is included.

Atomic structure:
a = 8.4164 Å, b = 8.4164 Å, c = 9.1403 Å
α = 120.43°, β = 120.43°, γ = 30.30°
Sites, in units of the cell vectors:
La: 0.0000 0.0000 0.0000
La: 0.2956 0.2956 0.3369
La: 0.7044 0.7044 0.6631
Ga: 0.0000 0.0000 0.5000
Ga: 0.3217 0.3217 0.9956
Ga: 0.6783 0.6783 0.0044
Pt: 0.1121 0.1121 0.3843
Pt: 0.1310 0.1310 0.8351
Pt: 0.3535 0.3535 0.7554
Pt: 0.4928 0.4928 0.3180
Pt: 0.5072 0.5072 0.6820
Pt: 0.6465 0.6465 0.2446
Pt: 0.8690 0.8690 0.1649
Pt: 0.8879 0.8879 0.6157

Most intense lines, 10 to 90 degrees two-theta, in order of rising 2θ:
- d = 2.945 Å, 30.35 deg, rel. 39
- d = 2.649 Å, 33.84 deg, rel. 100
- d = 2.578 Å, 34.80 deg, rel. 96
- d = 2.342 Å, 38.44 deg, rel. 46
- d = 2.326 Å, 38.70 deg, rel. 53
- d = 2.199 Å, 41.04 deg, rel. 77

=====

Entry 2:
Computed X-ray powder pattern of La2Ga3Pt for Cu Kα X-rays, from the PBE geometry in Alexandria.
No peak broadening, texture or thermal motion is included.

Atomic structure:
a = 3.9729 Å, b = 4.4759 Å, c = 7.8807 Å
α = 90.00°, β = 90.00°, γ = 90.00°
Sites, in units of the cell vectors:
La: 0.0000 0.0000 0.0000
La: 0.0000 0.5000 0.4707
Ga: 0.5000 0.0000 0.6514
Ga: 0.5000 0.5000 0.1491
Ga: 0.5000 0.5000 0.8199
Pt: 0.5000 0.0000 0.3204

Most intense lines, 10 to 90 degrees two-theta, in order of rising 2θ:
- d = 2.798 Å, 31.99 deg, rel. 48
- d = 2.780 Å, 32.20 deg, rel. 100
- d = 2.266 Å, 39.79 deg, rel. 53
- d = 2.238 Å, 40.30 deg, rel. 26
- d = 1.748 Å, 52.35 deg, rel. 24
- d = 1.494 Å, 62.15 deg, rel. 28

=====

Entry 3:
Computed X-ray powder pattern of La2ScGa3Pt4 for Cu Kα X-rays, from the PBE geometry in Alexandria.
No peak broadening, texture or thermal motion is included.

Atomic structure:
a = 4.2509 Å, b = 4.2509 Å, c = 11.2881 Å
α = 90.00°, β = 90.00°, γ = 90.00°
Sites, in units of the cell vectors:
La: 0.0000 0.5000 0.2387
La: 0.5000 0.0000 0.7613
Sc: 0.0000 0.0000 0.5000
Ga: 0.0000 0.5000 0.8738
Ga: 0.5000 0.0000 0.1262
Ga: 0.5000 0.5000 0.5000
Pt: 0.0000 0.0000 0.0000
Pt: 0.0000 0.5000 0.6481
Pt: 0.5000 0.0000 0.3519
Pt: 0.5000 0.5000 0.0000

Most intense lines, 10 to 90 degrees two-theta, in order of rising 2θ:
- d = 2.818 Å, 31.76 deg, rel. 41
- d = 2.653 Å, 33.79 deg, rel. 100
- d = 2.125 Å, 42.53 deg, rel. 58
- d = 2.057 Å, 44.01 deg, rel. 31
- d = 1.994 Å, 45.49 deg, rel. 31
- d = 1.454 Å, 64.03 deg, rel. 23

=====

Entry 4:
Computed X-ray powder pattern of LaSm2Ga2Pt7 for Cu Kα X-rays, from the PBE geometry in Alexandria.
No peak broadening, texture or thermal motion is included.

Atomic structure:
a = 4.1257 Å, b = 4.1257 Å, c = 14.3138 Å
α = 96.38°, β = 96.38°, γ = 89.25°
Sites, in units of the cell vectors:
La: 0.0000 0.0000 0.0000
Sm: 0.1203 0.1203 0.3605
Sm: 0.8797 0.8797 0.6395
Ga: 0.4011 0.4011 0.7405
Ga: 0.5989 0.5989 0.2595
Pt: 0.0613 0.5607 0.1599
Pt: 0.3654 0.3654 0.5678
Pt: 0.4393 0.9387 0.8401
Pt: 0.5000 0.5000 0.0000
Pt: 0.5607 0.0613 0.1599
Pt: 0.6346 0.6346 0.4322
Pt: 0.9387 0.4393 0.8401

Most intense lines, 10 to 90 degrees two-theta, in order of rising 2θ:
- d = 2.841 Å, 31.49 deg, rel. 46
- d = 2.682 Å, 33.41 deg, rel. 34
- d = 2.662 Å, 33.66 deg, rel. 50
- d = 2.546 Å, 35.25 deg, rel. 100
- d = 2.469 Å, 36.39 deg, rel. 88
- d = 2.061 Å, 43.92 deg, rel. 86

=====

Entry 5:
Computed X-ray powder pattern of La2TmGa3Pt4 for Cu Kα X-rays, from the PBE geometry in Alexandria.
No peak broadening, texture or thermal motion is included.

Atomic structure:
a = 4.3181 Å, b = 4.3181 Å, c = 11.2978 Å
α = 90.00°, β = 90.00°, γ = 90.00°
Sites, in units of the cell vectors:
La: 0.0000 0.5000 0.2310
La: 0.5000 0.0000 0.7690
Tm: 0.0000 0.0000 0.5000
Ga: 0.0000 0.5000 0.8785
Ga: 0.5000 0.0000 0.1215
Ga: 0.5000 0.5000 0.5000
Pt: 0.0000 0.0000 0.0000
Pt: 0.0000 0.5000 0.6541
Pt: 0.5000 0.0000 0.3459
Pt: 0.5000 0.5000 0.0000

Most intense lines, 10 to 90 degrees two-theta, in order of rising 2θ:
- d = 2.838 Å, 31.52 deg, rel. 24
- d = 2.686 Å, 33.36 deg, rel. 100
- d = 2.159 Å, 41.84 deg, rel. 53
- d = 2.073 Å, 43.66 deg, rel. 30
- d = 2.002 Å, 45.30 deg, rel. 20
- d = 1.327 Å, 71.02 deg, rel. 23

=====

Entry 6:
Computed X-ray powder pattern of LaZn2GaPt for Cu Kα X-rays, from the PBE geometry in Alexandria.
No peak broadening, texture or thermal motion is included.

Atomic structure:
a = 6.3383 Å, b = 6.3383 Å, c = 6.3383 Å
α = 141.94°, β = 139.98°, γ = 56.41°
Sites, in units of the cell vectors:
La: 0.0000 0.0000 0.0000
Zn: 0.6158 0.6158 0.0000
Zn: 0.7551 0.2551 0.5000
Ga: 0.2502 0.7502 0.5000
Pt: 0.3882 0.3882 0.0000

Most intense lines, 10 to 90 degrees two-theta, in order of rising 2θ:
- d = 2.992 Å, 29.86 deg, rel. 39
- d = 2.825 Å, 31.67 deg, rel. 43
- d = 2.766 Å, 32.36 deg, rel. 45
- d = 2.638 Å, 33.99 deg, rel. 100
- d = 2.169 Å, 41.64 deg, rel. 36
- d = 2.066 Å, 43.81 deg, rel. 32

=====

Entry 7:
Computed X-ray powder pattern of LaPuGa6 for Cu Kα X-rays, from the PBE geometry in Alexandria.
No peak broadening, texture or thermal motion is included.

Atomic structure:
a = 4.4432 Å, b = 6.2673 Å, c = 6.0232 Å
α = 90.00°, β = 90.00°, γ = 90.00°
Sites, in units of the cell vectors:
La: 0.0000 0.0000 0.0000
Pu: 0.5000 0.5000 0.2347
Ga: 0.0000 0.2604 0.4751
Ga: 0.0000 0.5000 0.8840
Ga: 0.0000 0.7396 0.4751
Ga: 0.5000 0.0000 0.3888
Ga: 0.5000 0.2726 0.7550
Ga: 0.5000 0.7274 0.7550

Most intense lines, 10 to 90 degrees two-theta, in order of rising 2θ:
- d = 3.106 Å, 28.75 deg, rel. 41
- d = 2.780 Å, 32.20 deg, rel. 44
- d = 2.714 Å, 33.00 deg, rel. 29
- d = 2.493 Å, 36.03 deg, rel. 65
- d = 2.357 Å, 38.19 deg, rel. 100
- d = 2.222 Å, 40.61 deg, rel. 36

=====

Entry 8:
Computed X-ray powder pattern of Rb2LaGaS4 for Cu Kα X-rays, from the PBE geometry in Alexandria.
No peak broadening, texture or thermal motion is included.

Atomic structure:
a = 8.5219 Å, b = 8.5219 Å, c = 8.7394 Å
α = 117.13°, β = 117.13°, γ = 92.59°
Sites, in units of the cell vectors:
Rb: 0.0000 0.0000 0.0000
Rb: 0.0000 0.0000 0.5000
Rb: 0.0000 0.5000 0.0000
Rb: 0.5000 0.0000 0.5000
La: 0.5000 0.5000 0.0000
La: 0.5000 0.5000 0.5000
Ga: 0.0000 0.5000 0.5000
Ga: 0.5000 0.0000 0.0000
S: 0.1858 0.6704 0.4802
S: 0.2753 0.3050 0.5575
S: 0.3050 0.2753 0.0575
S: 0.3296 0.8142 0.0198
S: 0.6704 0.1858 0.9802
S: 0.6950 0.7247 0.9425
S: 0.7247 0.6950 0.4425
S: 0.8142 0.3296 0.5198

Most intense lines, 10 to 90 degrees two-theta, in order of rising 2θ:
- d = 3.593 Å, 24.78 deg, rel. 81
- d = 3.550 Å, 25.08 deg, rel. 67
- d = 3.283 Å, 27.16 deg, rel. 100
- d = 3.080 Å, 28.99 deg, rel. 89
- d = 2.944 Å, 30.37 deg, rel. 60
- d = 2.246 Å, 40.14 deg, rel. 66

=====

Entry 9:
Computed X-ray powder pattern of LaGa9Rh2 for Cu Kα X-rays, from the PBE geometry in Alexandria.
No peak broadening, texture or thermal motion is included.

Atomic structure:
a = 8.3540 Å, b = 8.3540 Å, c = 8.3540 Å
α = 102.11°, β = 102.11°, γ = 125.48°
Sites, in units of the cell vectors:
La: 0.3750 0.6250 0.7500
La: 0.6250 0.3750 0.2500
Ga: 0.1250 0.8750 0.2500
Ga: 0.1429 0.5663 0.3346
Ga: 0.1429 0.8083 0.5766
Ga: 0.1917 0.2683 0.3346
Ga: 0.1917 0.8571 0.9234
Ga: 0.2683 0.1917 0.8346
Ga: 0.2683 0.4337 0.0766
Ga: 0.4337 0.2683 0.5766
Ga: 0.4337 0.8571 0.1654
Ga: 0.5663 0.1429 0.8346
Ga: 0.5663 0.7317 0.4234
Ga: 0.7317 0.5663 0.9234
Ga: 0.7317 0.8083 0.1654
Ga: 0.8083 0.1429 0.0766
Ga: 0.8083 0.7317 0.6654
Ga: 0.8571 0.1917 0.4234
Ga: 0.8571 0.4337 0.6654
Ga: 0.8750 0.1250 0.7500
Rh: 0.0000 0.0000 0.0000
Rh: 0.0000 0.0000 0.5000
Rh: 0.0000 0.5000 0.0000
Rh: 0.5000 0.0000 0.5000

Most intense lines, 10 to 90 degrees two-theta, in order of rising 2θ:
- d = 2.722 Å, 32.90 deg, rel. 48
- d = 2.508 Å, 35.80 deg, rel. 100
- d = 2.479 Å, 36.24 deg, rel. 53
- d = 2.348 Å, 38.33 deg, rel. 69
- d = 2.025 Å, 44.74 deg, rel. 71
- d = 2.001 Å, 45.31 deg, rel. 57

=====

Entry 10:
Computed X-ray powder pattern of La3Ga8Rh3 for Cu Kα X-rays, from the PBE geometry in Alexandria.
No peak broadening, texture or thermal motion is included.

Atomic structure:
a = 8.3270 Å, b = 8.3270 Å, c = 8.3270 Å
α = 149.72°, β = 105.81°, γ = 82.18°
Sites, in units of the cell vectors:
La: 0.0000 0.0000 0.0000
La: 0.3287 0.3287 0.0000
La: 0.6713 0.6713 0.0000
Ga: 0.0366 0.6710 0.3655
Ga: 0.1604 0.8794 0.2811
Ga: 0.3055 0.6710 0.6345
Ga: 0.4017 0.1206 0.2811
Ga: 0.5983 0.8794 0.7189
Ga: 0.6945 0.3290 0.3655
Ga: 0.8396 0.1206 0.7189
Ga: 0.9634 0.3290 0.6345
Rh: 0.2771 0.5000 0.7771
Rh: 0.5000 0.0000 0.5000
Rh: 0.7229 0.5000 0.2229

Most intense lines, 10 to 90 degrees two-theta, in order of rising 2θ:
- d = 2.653 Å, 33.79 deg, rel. 27
- d = 2.614 Å, 34.30 deg, rel. 21
- d = 2.585 Å, 34.70 deg, rel. 100
- d = 2.175 Å, 41.53 deg, rel. 48
- d = 2.092 Å, 43.24 deg, rel. 18
- d = 1.464 Å, 63.54 deg, rel. 20

=====

Entry 11:
Computed X-ray powder pattern of La3Ga8Rh3 for Cu Kα X-rays, from the PBE geometry in Alexandria.
No peak broadening, texture or thermal motion is included.

Atomic structure:
a = 8.3723 Å, b = 8.3723 Å, c = 8.8805 Å
α = 120.70°, β = 120.70°, γ = 31.26°
Sites, in units of the cell vectors:
La: 0.0000 0.0000 0.0000
La: 0.2892 0.2892 0.3085
La: 0.7108 0.7108 0.6915
Ga: 0.1318 0.1318 0.4197
Ga: 0.1420 0.1420 0.8467
Ga: 0.3507 0.3507 0.7312
Ga: 0.4899 0.4899 0.3140
Ga: 0.5101 0.5101 0.6861
Ga: 0.6493 0.6493 0.2688
Ga: 0.8580 0.8580 0.1533
Ga: 0.8682 0.8682 0.5803
Rh: 0.0000 0.0000 0.5000
Rh: 0.3301 0.3301 0.9962
Rh: 0.6699 0.6699 0.0038

Most intense lines, 10 to 90 degrees two-theta, in order of rising 2θ:
- d = 3.206 Å, 27.83 deg, rel. 32
- d = 2.677 Å, 33.47 deg, rel. 35
- d = 2.620 Å, 34.23 deg, rel. 100
- d = 2.474 Å, 36.31 deg, rel. 46
- d = 2.312 Å, 38.96 deg, rel. 41
- d = 2.255 Å, 39.97 deg, rel. 71

=====

Entry 12:
Computed X-ray powder pattern of La3Ga9Rh2 for Cu Kα X-rays, from the PBE geometry in Alexandria.
No peak broadening, texture or thermal motion is included.

Atomic structure:
a = 8.3610 Å, b = 8.3610 Å, c = 8.3610 Å
α = 149.56°, β = 109.31°, γ = 78.88°
Sites, in units of the cell vectors:
La: 0.0000 0.0000 0.0000
La: 0.3027 0.3027 0.0000
La: 0.6973 0.6973 0.0000
Ga: 0.0167 0.6562 0.3605
Ga: 0.1485 0.8685 0.2800
Ga: 0.2957 0.6562 0.6395
Ga: 0.4115 0.1315 0.2800
Ga: 0.5000 0.0000 0.5000
Ga: 0.5885 0.8685 0.7200
Ga: 0.7043 0.3438 0.3605
Ga: 0.8515 0.1315 0.7200
Ga: 0.9833 0.3438 0.6395
Rh: 0.3142 0.5000 0.8142
Rh: 0.6858 0.5000 0.1858

Most intense lines, 10 to 90 degrees two-theta, in order of rising 2θ:
- d = 2.595 Å, 34.56 deg, rel. 100
- d = 2.581 Å, 34.76 deg, rel. 26
- d = 2.512 Å, 35.75 deg, rel. 21
- d = 2.411 Å, 37.30 deg, rel. 24
- d = 2.195 Å, 41.13 deg, rel. 36
- d = 2.152 Å, 41.98 deg, rel. 16